# TmPuCd2
Simulated powder diffractogram, Cu Ka. Input: the PBE geometry in Alexandria.
Lines closer than 0.1° are merged.

Most intense lines, 2θ = 10–90°, by angle:
- 2θ = 20.6°, I 2
- 2θ = 23.8°, I 9
- 2θ = 33.9°, I 100
- 2θ = 39.9°, I 1
- 2θ = 41.8°, I 3
- 2θ = 48.7°, I 18
- 2θ = 54.8°, I 4
- 2θ = 60.6°, I 37
- 2θ = 71.3°, I 12
- 2θ = 76.3°, I 2
- 2θ = 81.3°, I 16
- 2θ = 86.2°, I 1

Unit cell a=7.4855 b=7.4855 c=7.4855 alpha=90.00 beta=90.00 gamma=90.00
Space group Fm-3m (No. 225)
Unique sites:
Tm (0.0000, 0.0000, 0.0000)
Pu (0.0000, 0.0000, 0.5000)
Cd (0.2500, 0.2500, 0.2500)

# PuZn2Cd10
Simulated powder diffractogram, Cu Ka. Input: the PBE geometry in Alexandria.
Lines closer than 0.1° are merged.

Most intense lines, 2θ = 10–90°, by angle:
- 2θ = 25.3°, I 15
- 2θ = 28.5°, I 13
- 2θ = 30.9°, I 22
- 2θ = 31.2°, I 50
- 2θ = 36.0°, I 59
- 2θ = 36.2°, I 100
- 2θ = 36.3°, I 49
- 2θ = 40.5°, I 34
- 2θ = 40.7°, I 17
- 2θ = 58.5°, I 24
- 2θ = 65.2°, I 36
- 2θ = 76.2°, I 11

Unit cell a=5.7878 b=13.9671 c=14.0099 alpha=90.00 beta=90.00 gamma=90.00
Space group Fmmm (No. 69)
Unique sites:
Pu (0.0000, 0.0000, 0.0000)
Zn (0.2500, 0.2500, 0.0000)
Cd (0.0000, 0.1104, 0.3962)
Cd (0.0000, 0.1786, 0.1693)
Cd (0.2500, 0.0000, 0.2500)

# PuZn3Cd9
Simulated powder diffractogram, Cu Ka. Input: the PBE geometry in Alexandria.
Lines closer than 0.1° are merged.

Most intense lines, 2θ = 10–90°, by angle:
- 2θ = 28.8°, I 9
- 2θ = 31.4°, I 38
- 2θ = 31.6°, I 23
- 2θ = 36.4°, I 44
- 2θ = 36.6°, I 100
- 2θ = 36.7°, I 17
- 2θ = 41.0°, I 15
- 2θ = 41.2°, I 18
- 2θ = 59.6°, I 9
- 2θ = 65.6°, I 16
- 2θ = 66.0°, I 18
- 2θ = 77.9°, I 7

Unit cell a=5.6980 b=13.8748 c=7.4777 alpha=90.00 beta=111.82 gamma=90.00
Space group C2/m (No. 12)
Unique sites:
Pu (0.0000, 0.0000, 0.0000)
Zn (0.0000, 0.5000, 0.5000)
Zn (0.2500, 0.2500, 0.0000)
Cd (0.0000, 0.0000, 0.5000)
Cd (0.0970, 0.3910, 0.2116)
Cd (0.1729, 0.1764, 0.3422)

# Pu2ZrCd6
Simulated powder diffractogram, Cu Ka. Input: the PBE geometry in Alexandria.
Lines closer than 0.1° are merged.

Most intense lines, 2θ = 10–90°, by angle:
- 2θ = 11.5°, I 12
- 2θ = 20.1°, I 11
- 2θ = 23.2°, I 5
- 2θ = 35.1°, I 99
- 2θ = 35.7°, I 100
- 2θ = 50.9°, I 36
- 2θ = 60.6°, I 7
- 2θ = 63.0°, I 18
- 2θ = 63.4°, I 37
- 2θ = 72.0°, I 24
- 2θ = 74.2°, I 11
- 2θ = 85.2°, I 17

Unit cell a=8.8541 b=8.8541 c=3.0554 alpha=90.00 beta=90.00 gamma=120.00
Space group P6/mmm (No. 191)
Unique sites:
Pu (0.3333, 0.6667, 0.0000)
Zr (0.0000, 0.0000, 0.0000)
Cd (0.0000, 0.3270, 0.5000)

# RbCd
Simulated powder diffractogram, Cu Ka. Input: the PBE geometry in Alexandria.
Lines closer than 0.1° are merged.

Most intense lines, 2θ = 10–90°, by angle:
- 2θ = 17.5°, I 10
- 2θ = 25.1°, I 17
- 2θ = 26.4°, I 12
- 2θ = 27.2°, I 100
- 2θ = 31.6°, I 22
- 2θ = 34.8°, I 15
- 2θ = 36.1°, I 15
- 2θ = 39.3°, I 10
- 2θ = 48.7°, I 13
- 2θ = 51.0°, I 10
- 2θ = 53.6°, I 15
- 2θ = 59.6°, I 10

Unit cell a=5.6646 b=20.2818 c=4.9824 alpha=90.00 beta=90.00 gamma=90.00
Space group Cmmm (No. 65)
Unique sites:
Rb (0.0000, 0.0000, 0.0000)
Rb (0.0000, 0.3452, 0.0000)
Cd (0.0000, 0.2100, 0.5000)
Cd (0.0000, 0.5000, 0.5000)

# RbCd
Simulated powder diffractogram, Cu Ka. Input: the PBE geometry in Alexandria.
Lines closer than 0.1° are merged.

Most intense lines, 2θ = 10–90°, by angle:
- 2θ = 23.9°, I 79
- 2θ = 25.9°, I 100
- 2θ = 29.8°, I 27
- 2θ = 30.7°, I 40
- 2θ = 34.9°, I 92
- 2θ = 36.4°, I 42
- 2θ = 40.0°, I 18
- 2θ = 42.8°, I 17
- 2θ = 44.0°, I 23
- 2θ = 46.5°, I 46
- 2θ = 54.2°, I 43
- 2θ = 57.4°, I 21

Unit cell a=5.1380 b=5.1380 c=27.0196 alpha=90.00 beta=90.00 gamma=120.00
Space group R-3m (No. 166, hexagonal axes)
Unique sites:
Rb (0.0000, 0.0000, 0.0915)
Cd (0.0000, 0.0000, 0.3331)

# Rb5Cd
Simulated powder diffractogram, Cu Ka. Input: the PBE geometry in Alexandria.
Lines closer than 0.1° are merged.

Most intense lines, 2θ = 10–90°, by angle:
- 2θ = 22.2°, I 18
- 2θ = 22.5°, I 12
- 2θ = 23.2°, I 9
- 2θ = 23.7°, I 34
- 2θ = 24.1°, I 100
- 2θ = 28.5°, I 9
- 2θ = 32.9°, I 9
- 2θ = 35.7°, I 12
- 2θ = 41.9°, I 22
- 2θ = 42.8°, I 9
- 2θ = 43.3°, I 13
- 2θ = 55.0°, I 11

Unit cell a=7.5155 b=23.6746 c=5.0346 alpha=90.00 beta=90.00 gamma=90.00
Space group Cmmm (No. 65)
Unique sites:
Rb (0.0000, 0.0000, 0.0000)
Rb (0.0000, 0.1864, 0.5000)
Rb (0.0000, 0.3776, 0.0000)
Cd (0.0000, 0.5000, 0.5000)

# Rb3Cd
Simulated powder diffractogram, Cu Ka. Input: the PBE geometry in Alexandria.
Lines closer than 0.1° are merged.

Most intense lines, 2θ = 10–90°, by angle:
- 2θ = 12.8°, I 22
- 2θ = 20.7°, I 14
- 2θ = 21.8°, I 19
- 2θ = 23.0°, I 30
- 2θ = 24.7°, I 100
- 2θ = 25.7°, I 16
- 2θ = 26.9°, I 15
- 2θ = 28.9°, I 39
- 2θ = 35.5°, I 16
- 2θ = 39.0°, I 21
- 2θ = 44.7°, I 25
- 2θ = 53.7°, I 16

Unit cell a=5.0555 b=13.1881 c=8.1539 alpha=90.00 beta=90.00 gamma=90.00
Space group Imm2 (No. 44)
Unique sites:
Rb (0.0000, 0.0000, 0.0000)
Rb (0.0000, 0.1933, 0.4708)
Cd (0.0000, 0.5000, 0.1500)